Record 1
For KCu2O2, a cell relaxed with GGA-PBE gives the simulated powder diffractogram in this record (CuKα).

Top 10 peaks for 5 to 70 degrees two-theta, in order of rising 2θ:
d = 5.076 Å, 2θ 17.47, I = 55
d = 2.986 Å, 2θ 29.92, I = 23
d = 2.828 Å, 2θ 31.63, I = 83
d = 2.574 Å, 2θ 34.85, I = 97
d = 2.538 Å, 2θ 35.36, I = 100
d = 1.692 Å, 2θ 54.21, I = 16
d = 1.633 Å, 2θ 56.35, I = 22
d = 1.588 Å, 2θ 58.09, I = 46
d = 1.493 Å, 2θ 62.17, I = 19
d = 1.414 Å, 2θ 66.06, I = 14

Structure:
```
10
Lattice="-2.986 2.986 4.817 2.986 -2.986 4.817 2.986 2.986 -4.817" Properties=species:S:1:pos:R:3 pbc="T T T"
K 2.986 1.493 1.204
K 0.000 1.493 3.613
Cu 0.000 0.000 0.000
Cu 1.493 1.493 -2.409
Cu 1.493 -1.493 2.409
Cu 0.000 2.986 0.000
O 2.986 1.493 -1.428
O 0.000 1.493 0.980
O 2.986 1.493 3.837
O 0.000 1.493 6.245
```



Record 2
For K3Cu5O4, a cell relaxed with GGA-PBE gives the simulated powder diffractogram in this record (CuKα).

Top 10 peaks for 5 to 70 degrees two-theta, in order of rising 2θ:
d = 5.640 Å, 2θ 15.71, I = 72
d = 4.951 Å, 2θ 17.92, I = 81
d = 4.807 Å, 2θ 18.46, I = 62
d = 4.572 Å, 2θ 19.42, I = 55
d = 3.368 Å, 2θ 26.47, I = 80
d = 2.917 Å, 2θ 30.64, I = 56
d = 2.911 Å, 2θ 30.72, I = 96
d = 2.884 Å, 2θ 31.01, I = 58
d = 2.862 Å, 2θ 31.25, I = 100
d = 1.709 Å, 2θ 53.63, I = 56

Structure:
```
48
Lattice="9.551 0.000 0.000 0.000 7.321 0.000 -4.065 0.000 13.475" Properties=species:S:1:pos:R:3 pbc="T T T"
K 0.570 1.189 1.232
K -1.462 2.472 7.970
K 2.228 5.322 1.094
K 0.195 5.660 7.831
K -0.515 0.602 12.067
K 1.517 3.058 5.329
K 3.968 4.263 8.145
K 6.001 6.719 1.408
K 5.291 1.661 5.643
K 3.258 2.000 12.381
K 6.948 4.849 5.505
K 4.915 6.133 12.243
Cu -0.954 0.634 5.172
Cu -2.986 3.027 11.909
Cu -2.422 4.876 10.023
Cu -0.390 6.106 3.285
Cu -0.631 4.023 11.736
Cu 1.402 6.959 4.999
Cu 3.202 0.397 3.144
Cu 1.170 3.264 9.881
Cu 1.788 1.403 8.271
Cu 3.820 2.257 1.534
Cu 1.666 5.064 11.941
Cu 3.698 5.918 5.203
Cu 4.316 4.057 3.593
Cu 2.284 6.925 10.331
Cu 4.084 0.362 8.476
Cu 6.116 3.298 1.739
Cu 5.876 1.215 10.189
Cu 7.908 2.446 3.452
Cu 8.472 4.295 1.566
Cu 6.440 6.687 8.303
O -3.598 1.311 12.017
O -1.566 2.349 5.279
O -2.332 4.777 11.887
O -0.299 6.205 5.150
O 3.300 0.510 1.310
O 1.267 3.150 8.048
O 3.110 0.355 4.990
O 1.078 3.306 11.727
O 4.408 4.016 1.747
O 2.376 6.966 8.485
O 4.219 4.171 5.427
O 2.186 6.811 12.165
O 5.785 1.116 8.325
O 7.818 2.544 1.587
O 7.052 4.972 8.196
O 9.084 6.010 1.458
```



Record 3
For KCuPO4, a cell relaxed with GGA-PBE gives the simulated powder diffractogram in this record (CuKα).

Top 10 peaks for 5 to 70 degrees two-theta, in order of rising 2θ:
d = 6.359 Å, 2θ 13.93, I = 90
d = 3.887 Å, 2θ 22.88, I = 38
d = 3.272 Å, 2θ 27.26, I = 100
d = 3.198 Å, 2θ 27.90, I = 73
d = 3.180 Å, 2θ 28.06, I = 36
d = 3.127 Å, 2θ 28.54, I = 60
d = 3.002 Å, 2θ 29.76, I = 65
d = 2.732 Å, 2θ 32.78, I = 77
d = 2.689 Å, 2θ 33.32, I = 73
d = 2.523 Å, 2θ 35.59, I = 41

Structure:
```
28
Lattice="5.050 0.000 0.000 0.000 9.745 0.000 -0.387 0.000 8.393" Properties=species:S:1:pos:R:3 pbc="T T T"
K 1.016 0.000 2.253
K 0.896 8.309 6.345
K 3.767 3.437 2.047
K 3.647 4.872 6.140
Cu 0.857 2.184 7.720
Cu 1.644 6.035 3.386
Cu 3.019 1.163 5.007
Cu 3.806 7.056 0.673
P 1.242 5.280 0.365
P 1.117 3.026 4.695
P 3.546 7.898 3.698
P 3.421 0.407 8.028
O -0.014 7.594 3.729
O 0.070 6.507 8.198
O 0.379 4.042 7.964
O 0.936 5.041 1.875
O 1.380 4.550 4.655
O 1.928 2.210 3.631
O 1.841 2.485 6.030
O 1.887 0.612 8.249
O 2.776 5.484 0.144
O 2.822 7.357 2.362
O 2.735 7.082 4.762
O 3.283 9.423 3.738
O 3.727 0.169 6.518
O 4.284 8.914 0.429
O 4.593 1.635 0.195
O 4.677 2.721 4.664
```



Record 4
For KCuPO4, a cell relaxed with GGA-PBE gives the simulated powder diffractogram in this record (CuKα).

Top 10 peaks for 5 to 70 degrees two-theta, in order of rising 2θ:
d = 9.046 Å, 2θ 9.78, I = 100
d = 4.693 Å, 2θ 18.91, I = 12
d = 3.221 Å, 2θ 27.69, I = 26
d = 3.203 Å, 2θ 27.85, I = 31
d = 2.902 Å, 2θ 30.81, I = 19
d = 2.742 Å, 2θ 32.66, I = 18
d = 2.731 Å, 2θ 32.79, I = 32
d = 2.430 Å, 2θ 37.00, I = 20
d = 1.892 Å, 2θ 48.10, I = 20
d = 1.452 Å, 2θ 64.15, I = 10

Structure:
```
56
Lattice="6.850 0.000 0.000 0.000 18.092 0.000 0.000 0.000 6.894" Properties=species:S:1:pos:R:3 pbc="T T T"
K 0.126 3.164 0.248
K 0.126 5.882 3.695
K 3.299 12.210 0.248
K 3.299 14.928 3.695
K 3.551 3.164 3.199
K 3.551 5.882 6.646
K 6.724 12.210 3.199
K 6.724 14.928 6.646
Cu 1.563 9.116 1.972
Cu 1.563 18.023 5.419
Cu 1.862 0.069 1.972
Cu 1.862 8.977 5.419
Cu 4.988 9.116 1.475
Cu 4.988 18.023 4.922
Cu 5.287 0.069 1.475
Cu 5.287 8.977 4.922
P 0.064 10.944 6.717
P 0.064 16.195 3.270
P 3.361 1.897 6.717
P 3.361 7.149 3.270
P 3.489 10.944 3.624
P 3.489 16.195 0.177
P 6.786 1.897 3.624
P 6.786 7.149 0.177
O 0.420 1.450 5.041
O 0.420 7.596 1.594
O 0.563 12.374 6.704
O 0.563 14.764 3.256
O 1.056 1.736 2.546
O 1.056 7.310 5.993
O 1.259 9.935 0.190
O 1.259 17.203 3.637
O 2.166 0.889 0.190
O 2.166 8.157 3.637
O 2.370 10.782 2.546
O 2.370 16.356 5.993
O 2.862 3.328 6.704
O 2.862 5.718 3.256
O 3.006 10.496 5.041
O 3.006 16.642 1.594
O 3.845 1.450 5.300
O 3.845 7.596 1.853
O 3.988 12.374 3.638
O 3.988 14.764 0.191
O 4.481 1.736 0.901
O 4.481 7.310 4.348
O 4.684 9.935 3.257
O 4.684 17.203 6.704
O 5.591 0.889 3.257
O 5.591 8.157 6.704
O 5.795 10.782 0.901
O 5.795 16.356 4.348
O 6.287 3.328 3.638
O 6.287 5.718 0.191
O 6.431 10.496 5.300
O 6.431 16.642 1.853
```